[1]
# MgV4Sb2P6O24
Computed XRD peak list, CuKα. Input: a GGA+U-relaxed structure.
Intensities are scaled so that the largest is 100.

Atomic structure:
abc: 8.6620 8.7497 9.2022
angles: 63.93 66.43 61.23
Space group P1 (No. 1)
Unique sites:
Mg  0.0000  0.0000  0.0000 x1
V  0.2044  0.1216  0.6443 x1
V  0.2858  0.2432  0.2845 x1
V  0.5891  0.5376  0.3820 x1
V  0.7628  0.7437  0.8224 x1
Sb  0.3774  0.3665  0.9060 x1
Sb  0.9077  0.8664  0.4420 x1
P  0.1979  0.4608  0.5877 x1
P  0.3946  0.9313  0.0734 x1
P  0.5025  0.8340  0.5737 x1
P  0.6622  0.3610  0.0974 x1
P  0.8923  0.1416  0.6077 x1
P  0.9616  0.6200  0.1133 x1
O  0.0013  0.6218  0.6202 x1
O  0.0709  0.1394  0.4723 x1
O  0.1624  0.4668  0.0912 x1
O  0.1904  0.3895  0.4652 x1
O  0.2132  0.3044  0.7555 x1
O  0.2212  0.9431  0.0580 x1
O  0.3360  0.5476  0.5271 x1
O  0.3508  0.8300  0.7333 x1
O  0.3553  0.1285  0.0852 x1
O  0.4461  0.0292  0.4490 x1
O  0.4594  0.7888  0.2269 x1
O  0.5027  0.3304  0.0777 x1
O  0.5473  0.9223  0.9093 x1
O  0.5800  0.6739  0.5106 x1
O  0.5832  0.3995  0.2652 x1
O  0.6768  0.8243  0.6101 x1
O  0.7020  0.5179  0.9448 x1
O  0.7178  0.2993  0.5714 x1
O  0.8240  0.1789  0.1125 x1
O  0.8408  0.5209  0.2485 x1
O  0.8705  0.9575  0.6301 x1
O  0.9285  0.6980  0.9376 x1
O  0.9320  0.1119  0.7723 x1
O  0.9619  0.7711  0.1552 x1

Peak list (8 most intense, 10° ≤ 2θ ≤ 80°, in order of falling intensity)
20.32 deg, d = 4.371 Å, rel. 100
20.05 deg, d = 4.429 Å, rel. 98
20.57 deg, d = 4.318 Å, rel. 58
22.63 deg, d = 3.929 Å, rel. 54
30.73 deg, d = 2.910 Å, rel. 43
29.22 deg, d = 3.056 Å, rel. 40
24.13 deg, d = 3.688 Å, rel. 38
35.10 deg, d = 2.556 Å, rel. 37

=====

[2]
# YMnO3
Computed XRD peak list, CuKα. Input: a GGA+U-relaxed structure.
Intensities are scaled so that the largest is 100.

Atomic structure:
abc: 6.2330 6.2330 11.5891
angles: 90.00 90.00 120.00
Space group P6_3cm (No. 185)
Unique sites:
Y  0.0000  0.0000  0.0000 x2
Y  0.3333  0.6667  0.4571 x4
Mn  0.0000  0.3336  0.2254 x6
O  0.0000  0.0000  0.2016 x2
O  0.0000  0.3077  0.3897 x6
O  0.0000  0.3586  0.0613 x6
O  0.3333  0.6667  0.2452 x4

Peak list (8 most intense, 10° ≤ 2θ ≤ 80°, in order of falling intensity)
32.62 deg, d = 2.745 Å, rel. 100
29.68 deg, d = 3.010 Å, rel. 63
50.74 deg, d = 1.799 Å, rel. 58
30.86 deg, d = 2.897 Å, rel. 40
28.64 deg, d = 3.117 Å, rel. 33
60.58 deg, d = 1.529 Å, rel. 32
42.61 deg, d = 2.122 Å, rel. 30
56.01 deg, d = 1.642 Å, rel. 23

=====

Q: Which formula does entry 1 have?
A: MgV4Sb2P6O24

=====

Repeat the first record exactly.
# MgV4Sb2P6O24
Computed XRD peak list, CuKα. Input: a GGA+U-relaxed structure.
Intensities are scaled so that the largest is 100.

Atomic structure:
abc: 8.6620 8.7497 9.2022
angles: 63.93 66.43 61.23
Space group P1 (No. 1)
Unique sites:
Mg  0.0000  0.0000  0.0000 x1
V  0.2044  0.1216  0.6443 x1
V  0.2858  0.2432  0.2845 x1
V  0.5891  0.5376  0.3820 x1
V  0.7628  0.7437  0.8224 x1
Sb  0.3774  0.3665  0.9060 x1
Sb  0.9077  0.8664  0.4420 x1
P  0.1979  0.4608  0.5877 x1
P  0.3946  0.9313  0.0734 x1
P  0.5025  0.8340  0.5737 x1
P  0.6622  0.3610  0.0974 x1
P  0.8923  0.1416  0.6077 x1
P  0.9616  0.6200  0.1133 x1
O  0.0013  0.6218  0.6202 x1
O  0.0709  0.1394  0.4723 x1
O  0.1624  0.4668  0.0912 x1
O  0.1904  0.3895  0.4652 x1
O  0.2132  0.3044  0.7555 x1
O  0.2212  0.9431  0.0580 x1
O  0.3360  0.5476  0.5271 x1
O  0.3508  0.8300  0.7333 x1
O  0.3553  0.1285  0.0852 x1
O  0.4461  0.0292  0.4490 x1
O  0.4594  0.7888  0.2269 x1
O  0.5027  0.3304  0.0777 x1
O  0.5473  0.9223  0.9093 x1
O  0.5800  0.6739  0.5106 x1
O  0.5832  0.3995  0.2652 x1
O  0.6768  0.8243  0.6101 x1
O  0.7020  0.5179  0.9448 x1
O  0.7178  0.2993  0.5714 x1
O  0.8240  0.1789  0.1125 x1
O  0.8408  0.5209  0.2485 x1
O  0.8705  0.9575  0.6301 x1
O  0.9285  0.6980  0.9376 x1
O  0.9320  0.1119  0.7723 x1
O  0.9619  0.7711  0.1552 x1

Peak list (8 most intense, 10° ≤ 2θ ≤ 80°, in order of falling intensity)
20.32 deg, d = 4.371 Å, rel. 100
20.05 deg, d = 4.429 Å, rel. 98
20.57 deg, d = 4.318 Å, rel. 58
22.63 deg, d = 3.929 Å, rel. 54
30.73 deg, d = 2.910 Å, rel. 43
29.22 deg, d = 3.056 Å, rel. 40
24.13 deg, d = 3.688 Å, rel. 38
35.10 deg, d = 2.556 Å, rel. 37